# 1
RbBaSiHO4: theoretical PXRD pattern (Cu Kα), based on the PBE geometry in Alexandria.
Neutral-atom scattering factors, no anomalous dispersion.

Structure:
Cell lengths 5.9876, 8.2238, 6.0630 Å; angles 90.00, 118.19, 90.00 degrees
Space group P2_1 (No. 4)
Inequivalent atoms, fractional coordinates:
Rb1 0.1372 0.0000 0.2921 [2 per cell]
Ba1 0.4846 0.2533 0.9916 [2 per cell]
Si1 0.1924 0.5167 0.3784 [2 per cell]
H1 0.0131 0.2817 0.4554 [2 per cell]
O1 0.0058 0.3430 0.3068 [2 per cell]
O2 0.0081 0.1692 0.6892 [2 per cell]
O3 0.3392 0.5114 0.2094 [2 per cell]
O4 0.3845 0.5073 0.6809 [2 per cell]

Largest 10 diffraction maxima, by angle, 10 to 90 degrees two-theta:
two_theta, intensity, index
27.37, 71, 0 2 1
27.50, 59, 1 2 0
27.72, 100, 1 2 -1
28.85, 66, 1 0 1
29.49, 54, 1 0 -2
29.85, 51, 2 0 -1
40.25, 41, 0 2 2
40.63, 28, 2 2 0
41.26, 28, 2 2 -2
51.44, 33, 2 2 -3

---

# 2
SmZn4CuPd2: theoretical PXRD pattern (Cu Kα), based on the PBE geometry in Alexandria.
Neutral-atom scattering factors, no anomalous dispersion.

Structure:
Cell lengths 4.3034, 4.3034, 25.5277 Å; angles 90.00, 90.00, 120.00 degrees
Space group R-3m (No. 166, hexagonal axes)
Inequivalent atoms, fractional coordinates:
Sm1 0.0000 0.0000 0.0000 [3 per cell]
Zn1 0.0000 0.0000 0.1318 [6 per cell]
Zn2 0.0000 0.0000 0.4015 [6 per cell]
Cu1 0.0000 0.0000 0.5000 [3 per cell]
Pd1 0.0000 0.0000 0.2355 [6 per cell]

Largest 10 diffraction maxima, by angle, 10 to 90 degrees two-theta:
two_theta, intensity, index
27.72, 17, 1 0 4
29.68, 29, 0 1 5
37.09, 82, 0 1 8
41.99, 100, 1 1 0
46.07, 19, 0 1 11
52.69, 8, 1 0 13
57.25, 23, 2 0 8
61.27, 8, 1 1 12
73.49, 21, 1 2 8
76.71, 16, 3 0 0

---

# 3
AcPaAs2: theoretical PXRD pattern (Cu Kα), based on the PBE geometry in Alexandria.
Neutral-atom scattering factors, no anomalous dispersion.

Structure:
Cell lengths 4.1915, 4.1915, 22.4536 Å; angles 90.00, 90.00, 120.00 degrees
Space group R3m (No. 160, hexagonal axes)
Inequivalent atoms, fractional coordinates:
Ac1 0.0000 0.0000 0.0000 [3 per cell]
Pa1 0.0000 0.0000 0.1751 [3 per cell]
As1 0.0000 0.0000 0.5779 [3 per cell]
As2 0.0000 0.0000 0.7665 [3 per cell]

Largest 10 diffraction maxima, by angle, 10 to 90 degrees two-theta:
two_theta, intensity, index
23.78, 19, 0 0 6
24.85, 45, 1 0 1
25.79, 31, 0 1 2
29.30, 20, 1 0 4
31.70, 100, 0 1 5
37.41, 36, 1 0 7
43.17, 51, 1 1 0
54.53, 22, 2 0 5
67.05, 22, 1 1 12
71.97, 19, 1 2 5

---

# 4
LaPd3: theoretical PXRD pattern (Cu Kα), based on the PBE geometry in Alexandria.
Neutral-atom scattering factors, no anomalous dispersion.

Structure:
Cell lengths 4.2336, 4.2336, 4.2336 Å; angles 90.00, 90.00, 90.00 degrees
Space group Pm-3m (No. 221)
Inequivalent atoms, fractional coordinates:
La1 0.0000 0.0000 0.0000 [1 per cell]
Pd1 0.0000 0.5000 0.5000 [3 per cell]

Largest 8 diffraction maxima, by angle, 10 to 90 degrees two-theta:
two_theta, intensity, index
20.98, 1, 1 0 0
29.85, 1, 1 1 0
36.77, 100, 1 1 1
42.72, 49, 2 0 0
48.06, 1, 2 1 0
62.00, 32, 2 2 0
74.31, 37, 3 1 1
78.22, 11, 2 2 2